1.
Starting from a PBE-relaxed structure, the X-ray diffraction stick pattern of Tb2Tm3Ag3 was computed for CuKα.
Lines closer than 0.1° are merged.

Cell and atoms:
```
data_Tb2Tm3Ag3
_cell_length_a 3.652
_cell_length_b 5.193
_cell_length_c 21.338
_cell_angle_alpha 90.00
_cell_angle_beta 90.00
_cell_angle_gamma 90.00
_symmetry_space_group_name_H-M 'I m m m'
_symmetry_Int_Tables_number 71
_symmetry_space_group_name_Hall '-I 2 2'
loop_
_atom_site_label
_atom_site_type_symbol
_atom_site_fract_x
_atom_site_fract_y
_atom_site_fract_z
_atom_site_occupancy
Tb1 Tb 0.000 0.000 0.232 1
Tm1 Tm 0.000 0.000 0.000 1
Tm2 Tm 0.000 0.500 0.119 1
Ag1 Ag 0.000 0.000 0.500 1
Ag2 Ag 0.000 0.500 0.385 1
```

Most intense lines, 10° ≤ 2θ ≤ 90°, by intensity:
2theta  I (rel.)  hkl
34.41  100  1 1 4
34.54  27  0 2 0
33.60  21  0 0 8
61.81  19  1 3 4
48.96  14  0 2 8
60.60  10  1 1 12
62.14  10  2 2 0
49.94  9  2 0 0
72.53  9  2 2 8
83.56  8  3 1 4

=====

2.
Starting from a PBE-relaxed structure, the X-ray diffraction stick pattern of Na8B11C5 was computed for CuKα.
Lines closer than 0.1° are merged.

Cell and atoms:
```
data_Na8B11C5
_cell_length_a 5.643
_cell_length_b 5.839
_cell_length_c 9.078
_cell_angle_alpha 99.90
_cell_angle_beta 98.97
_cell_angle_gamma 118.75
_symmetry_space_group_name_H-M 'P 1'
_symmetry_Int_Tables_number 1
loop_
_symmetry_equiv_pos_as_xyz
'x,y,z'
loop_
_atom_site_label
_atom_site_type_symbol
_atom_site_fract_x
_atom_site_fract_y
_atom_site_fract_z
_atom_site_occupancy
Na1 Na 0.000 0.000 0.000 1
Na2 Na 0.001 0.499 0.002 1
Na3 Na 0.252 0.750 0.504 1
Na4 Na 0.253 0.251 0.503 1
Na5 Na 0.501 0.999 0.000 1
Na6 Na 0.502 0.499 0.005 1
Na7 Na 0.751 0.750 0.504 1
Na8 Na 0.754 0.253 0.506 1
B1 B 0.043 0.719 0.752 1
B2 B 0.218 0.530 0.753 1
B3 B 0.220 0.054 0.753 1
B4 B 0.288 0.446 0.253 1
B5 B 0.310 0.989 0.253 1
B6 B 0.452 0.777 0.254 1
B7 B 0.699 0.529 0.753 1
B8 B 0.712 0.045 0.753 1
B9 B 0.788 0.446 0.253 1
B10 B 0.809 0.989 0.253 1
B11 B 0.952 0.777 0.253 1
C1 C 0.044 0.214 0.753 1
C2 C 0.459 0.290 0.253 1
C3 C 0.543 0.214 0.753 1
C4 C 0.544 0.715 0.753 1
C5 C 0.959 0.289 0.252 1
```

Most intense lines, 10° ≤ 2θ ≤ 90°, by intensity:
2theta  I (rel.)  hkl
42.20  100  2 -2 2
42.09  84  0 0 4
41.04  65  0 2 1
76.93  17  2 -2 6
35.06  15  0 2 -1
63.66  12  2 2 -2
63.82  12  2 -4 1
79.26  11  2 2 2
36.32  11  2 0 -1
79.41  11  2 -4 5

=====

3.
Starting from a PBE-relaxed structure, the X-ray diffraction stick pattern of Y12Er3Sc was computed for CuKα.
Lines closer than 0.1° are merged.

Cell and atoms:
```
data_Y12Er3Sc
_cell_length_a 5.011
_cell_length_b 5.011
_cell_length_c 20.023
_cell_angle_alpha 90.00
_cell_angle_beta 90.00
_cell_angle_gamma 90.00
_symmetry_space_group_name_H-M 'P 4/m m m'
_symmetry_Int_Tables_number 123
_symmetry_space_group_name_Hall '-P 4 2'
loop_
_atom_site_label
_atom_site_type_symbol
_atom_site_fract_x
_atom_site_fract_y
_atom_site_fract_z
_atom_site_occupancy
Y1 Y 0.000 0.000 0.000 1
Y2 Y 0.000 0.000 0.248 1
Y3 Y 0.000 0.000 0.500 1
Y4 Y 0.000 0.500 0.122 1
Y5 Y 0.000 0.500 0.374 1
Er1 Er 0.500 0.500 0.248 1
Er2 Er 0.500 0.500 0.500 1
Sc1 Sc 0.500 0.500 0.000 1
```

Most intense lines, 10° ≤ 2θ ≤ 90°, by intensity:
2theta  I (rel.)  hkl
30.92  100  1 1 4
35.85  50  2 0 0
61.38  40  3 1 4
51.61  35  2 2 0
84.26  16  3 3 4
86.98  15  4 2 0
64.43  12  2 2 8
75.99  5  4 0 0
17.71  3  0 0 4
25.14  3  1 1 0

=====

4.
Starting from a PBE-relaxed structure, the X-ray diffraction stick pattern of RbAsH2IrSe was computed for CuKα.
Lines closer than 0.1° are merged.

Cell and atoms:
```
data_RbAsH2IrSe
_cell_length_a 13.511
_cell_length_b 3.933
_cell_length_c 4.876
_cell_angle_alpha 90.00
_cell_angle_beta 99.64
_cell_angle_gamma 90.00
_symmetry_space_group_name_H-M 'C 1 m 1'
_symmetry_Int_Tables_number 8
loop_
_symmetry_equiv_pos_as_xyz
'x,y,z'
'x,-y,z'
'x+1/2,y+1/2,z'
'x+1/2,-y+1/2,z'
loop_
_atom_site_label
_atom_site_type_symbol
_atom_site_fract_x
_atom_site_fract_y
_atom_site_fract_z
_atom_site_occupancy
Rb1 Rb 0.000 0.000 0.000 1
As1 As 0.290 0.000 0.060 1
H1 H 0.135 0.500 0.126 1
H2 H 0.366 0.500 0.509 1
Ir1 Ir 0.252 0.500 0.308 1
Se1 Se 0.192 0.000 0.586 1
```

Most intense lines, 10° ≤ 2θ ≤ 90°, by intensity:
2theta  I (rel.)  hkl
13.29  100  2 0 0
33.89  64  3 1 -1
24.59  44  2 0 1
26.77  39  4 0 0
43.69  31  1 1 -2
30.82  29  1 1 1
18.46  25  0 0 1
35.26  18  4 0 1
29.40  18  1 1 -1
51.70  16  3 1 2